1.
Calculated powder XRD pattern
Compound: Na3NbAs2O9
Radiation: λ = 1.5418 Å (Cu Kα)
Structure: a crystal structure in the Materials Project, relaxed with GGA-PBE
Lines closer than 0.1° are merged.

Atomic structure:
a b c (Å): 10.4899 9.5327 12.4464
angles (deg): 90.00 121.06 90.00
Atoms (fractional coordinates):
1 Na 0.0289 0.2218 0.3550
2 Na 0.0289 0.2782 0.8550
3 Na 0.2997 0.5636 0.6481
4 Na 0.2997 0.9364 0.1481
5 Na 0.3640 0.1332 0.8478
6 Na 0.3640 0.3668 0.3478
7 Na 0.6360 0.6332 0.6522
8 Na 0.6360 0.8668 0.1522
9 Na 0.7003 0.0636 0.8519
10 Na 0.7003 0.4364 0.3519
11 Na 0.9711 0.7218 0.1450
12 Na 0.9711 0.7782 0.6450
13 Nb 0.2325 0.6065 0.0309
14 Nb 0.2325 0.8935 0.5309
15 Nb 0.7675 0.1065 0.4691
16 Nb 0.7675 0.3935 0.9691
17 As 0.3280 0.7176 0.3892
18 As 0.3280 0.7824 0.8892
19 As 0.3820 0.1710 0.6111
20 As 0.3820 0.3290 0.1111
21 As 0.6180 0.6710 0.8889
22 As 0.6180 0.8290 0.3889
23 As 0.6720 0.2176 0.1108
24 As 0.6720 0.2824 0.6108
25 O 0.0540 0.0198 0.4835
26 O 0.0540 0.4802 0.9835
27 O 0.1613 0.7296 0.0989
28 O 0.1613 0.7704 0.5989
29 O 0.1642 0.6802 0.8519
30 O 0.1642 0.8198 0.3519
31 O 0.1966 0.0749 0.9144
32 O 0.1966 0.4251 0.4144
33 O 0.2692 0.0992 0.4599
34 O 0.2692 0.4008 0.9599
35 O 0.3362 0.0848 0.0200
36 O 0.3362 0.4152 0.5200
37 O 0.3823 0.0022 0.6872
38 O 0.3823 0.4978 0.1872
39 O 0.4057 0.7477 0.0554
40 O 0.4057 0.7523 0.5554
41 O 0.4264 0.6441 0.8558
42 O 0.4264 0.8559 0.3558
43 O 0.5736 0.1441 0.6442
44 O 0.5736 0.3559 0.1442
45 O 0.5943 0.2477 0.4446
46 O 0.5943 0.2523 0.9446
47 O 0.6177 0.5022 0.8128
48 O 0.6177 0.9978 0.3128
49 O 0.6638 0.5848 0.4800
50 O 0.6638 0.9152 0.9800
51 O 0.7308 0.5992 0.0401
52 O 0.7308 0.9008 0.5401
53 O 0.8034 0.5749 0.5856
54 O 0.8034 0.9251 0.0856
55 O 0.8358 0.1802 0.6481
56 O 0.8358 0.3198 0.1481
57 O 0.8387 0.2296 0.4011
58 O 0.8387 0.2704 0.9011
59 O 0.9460 0.5198 0.0165
60 O 0.9460 0.9802 0.5165

Top 8 peaks for 2θ from 5° to 70°, in order of rising 2θ:
2theta  I (rel.)
9.8  89
12.5  100
13.5  78
16.6  70
18.1  45
19.8  47
23.6  53
25.2  50

***

2.
Calculated powder XRD pattern
Compound: Na2SO5
Radiation: λ = 1.5418 Å (Cu Kα)
Structure: a crystal structure in the Materials Project, relaxed with GGA-PBE
Lines closer than 0.1° are merged.

Atomic structure:
a b c (Å): 6.0915 6.0915 7.7857
angles (deg): 90.00 90.00 118.34
Atoms (fractional coordinates):
1 Na 0.0000 0.0000 0.0000
2 Na 0.0000 0.0000 0.5000
3 Na 0.3451 0.6549 0.7500
4 Na 0.6549 0.3451 0.2500
5 S 0.2175 0.7825 0.2500
6 S 0.7825 0.2175 0.7500
7 O 0.0290 0.4206 0.5559
8 O 0.0290 0.4206 0.9441
9 O 0.0747 0.9253 0.2500
10 O 0.4206 0.0290 0.0559
11 O 0.4206 0.0290 0.4441
12 O 0.5794 0.9710 0.5559
13 O 0.5794 0.9710 0.9441
14 O 0.9253 0.0747 0.7500
15 O 0.9710 0.5794 0.0559
16 O 0.9710 0.5794 0.4441

Top 8 peaks for 2θ from 5° to 70°, in order of rising 2θ:
2theta  I (rel.)
16.5  54
17.0  69
20.1  32
20.5  100
35.4  14
36.9  44
40.9  57
48.8  25

***

3.
Calculated powder XRD pattern
Compound: La3GaS5O
Radiation: λ = 1.5418 Å (Cu Kα)
Structure: a crystal structure in the Materials Project, relaxed with GGA-PBE
Lines closer than 0.1° are merged.

Atomic structure:
a b c (Å): 10.8556 4.0493 20.0691
angles (deg): 90.00 90.00 90.00
Atoms (fractional coordinates):
1 La 0.0203 0.2500 0.1030
2 La 0.0994 0.7500 0.6632
3 La 0.1473 0.2500 0.4903
4 La 0.3527 0.7500 0.9903
5 La 0.4006 0.2500 0.1632
6 La 0.4797 0.7500 0.6030
7 La 0.5203 0.2500 0.3970
8 La 0.5994 0.7500 0.8368
9 La 0.6473 0.2500 0.0097
10 La 0.8527 0.7500 0.5097
11 La 0.9006 0.2500 0.3368
12 La 0.9797 0.7500 0.8970
13 Ga 0.2065 0.7500 0.2894
14 Ga 0.2935 0.2500 0.7894
15 Ga 0.7065 0.7500 0.2106
16 Ga 0.7935 0.2500 0.7106
17 S 0.0848 0.7500 0.3800
18 S 0.0879 0.2500 0.7880
19 S 0.1273 0.2500 0.9655
20 S 0.1477 0.2500 0.2382
21 S 0.2216 0.7500 0.1154
22 S 0.2784 0.2500 0.6154
23 S 0.3523 0.7500 0.7382
24 S 0.3727 0.7500 0.4655
25 S 0.4121 0.7500 0.2880
26 S 0.4152 0.2500 0.8800
27 S 0.5848 0.7500 0.1200
28 S 0.5879 0.2500 0.7120
29 S 0.6273 0.2500 0.5345
30 S 0.6477 0.2500 0.2618
31 S 0.7216 0.7500 0.3846
32 S 0.7784 0.2500 0.8846
33 S 0.8523 0.7500 0.7618
34 S 0.8727 0.7500 0.0345
35 S 0.9121 0.7500 0.2120
36 S 0.9152 0.2500 0.6200
37 O 0.0748 0.7500 0.5421
38 O 0.4252 0.2500 0.0421
39 O 0.5748 0.7500 0.9579
40 O 0.9252 0.2500 0.4579

Top 8 peaks for 2θ from 5° to 70°, in order of rising 2θ:
2theta  I (rel.)
23.6  63
25.0  59
27.0  100
27.9  74
28.9  59
32.9  76
43.2  51
44.8  54

***

4.
Calculated powder XRD pattern
Compound: Y2SnAu2
Radiation: λ = 1.5418 Å (Cu Kα)
Structure: a crystal structure in the Materials Project, relaxed with GGA-PBE
Lines closer than 0.1° are merged.

Atomic structure:
a b c (Å): 8.3692 8.3692 3.6009
angles (deg): 90.00 90.00 90.00
Atoms (fractional coordinates):
1 Y 0.1630 0.3370 0.0000
2 Y 0.3370 0.8370 0.0000
3 Y 0.6630 0.1630 0.0000
4 Y 0.8370 0.6630 0.0000
5 Sn 0.0000 0.0000 0.0000
6 Sn 0.5000 0.5000 0.0000
7 Au 0.1292 0.6292 0.5000
8 Au 0.3708 0.1292 0.5000
9 Au 0.6292 0.8708 0.5000
10 Au 0.8708 0.3708 0.5000

Top 8 peaks for 2θ from 5° to 70°, in order of rising 2θ:
2theta  I (rel.)
23.8  15
29.0  29
33.9  52
34.6  100
46.6  18
50.4  17
62.4  18
65.4  19

***

5.
Calculated powder XRD pattern
Compound: Ho3GaC
Radiation: λ = 1.5418 Å (Cu Kα)
Structure: a crystal structure in the Materials Project, relaxed with GGA-PBE
Lines closer than 0.1° are merged.

Atomic structure:
a b c (Å): 5.2744 5.2744 5.2744
angles (deg): 90.00 90.00 90.00
Atoms (fractional coordinates):
1 Ho 0.0000 0.0000 0.5000
2 Ho 0.0000 0.5000 0.0000
3 Ho 0.5000 0.0000 0.0000
4 Ga 0.0000 0.0000 0.0000
5 C 0.5000 0.5000 0.5000

Top 8 peaks for 2θ from 5° to 70°, in order of rising 2θ:
2theta  I (rel.)
16.8  79
29.3  100
34.0  92
38.2  42
48.8  66
52.0  22
58.0  44
60.8  23

***

6.
Calculated powder XRD pattern
Compound: Sr2Y2Ti2O7
Radiation: λ = 1.5418 Å (Cu Kα)
Structure: a crystal structure in the Materials Project, relaxed with GGA-PBE
Lines closer than 0.1° are merged.

Atomic structure:
a b c (Å): 12.9793 12.9793 12.9793
angles (deg): 35.24 155.16 155.40
Atoms (fractional coordinates):
1 Sr 0.0211 0.1451 0.1661
2 Sr 0.0211 0.3549 0.3760
3 Sr 0.9789 0.6451 0.6240
4 Sr 0.9789 0.8549 0.8339
5 Y 0.0109 0.0109 0.0000
6 Y 0.0109 0.5109 0.5000
7 Y 0.4210 0.7170 0.2040
8 Y 0.5130 0.2170 0.7960
9 Ti 0.5096 0.5682 0.0570
10 Ti 0.5096 0.9526 0.4414
11 Ti 0.5112 0.0682 0.5586
12 Ti 0.5112 0.4526 0.9430
13 O 0.0110 0.1925 0.6923
14 O 0.0108 0.3292 0.8104
15 O 0.0108 0.7004 0.1816
16 O 0.0110 0.8188 0.3185
17 O 0.1395 0.8168 0.8228
18 O 0.5002 0.3188 0.3077
19 O 0.5002 0.6925 0.6815
20 O 0.5019 0.2103 0.6254
21 O 0.5019 0.3766 0.7916
22 O 0.5188 0.2004 0.1896
23 O 0.5188 0.8292 0.8184
24 O 0.5850 0.7103 0.2084
25 O 0.5850 0.8766 0.3746
26 O 0.9940 0.3168 0.1772

Top 8 peaks for 2θ from 5° to 70°, in order of rising 2θ:
2theta  I (rel.)
26.9  28
31.4  100
32.1  42
32.4  43
36.3  22
37.0  34
46.2  47
57.2  37

***

7.
Calculated powder XRD pattern
Compound: CaGaSi
Radiation: λ = 1.5418 Å (Cu Kα)
Structure: a crystal structure in the Materials Project, relaxed with GGA-PBE
Lines closer than 0.1° are merged.

Atomic structure:
a b c (Å): 4.1466 4.1466 4.4159
angles (deg): 90.00 90.00 120.00
Atoms (fractional coordinates):
1 Ca 0.0000 0.0000 0.0000
2 Ga 0.3333 0.6667 0.5000
3 Si 0.6667 0.3333 0.5000

Top 8 peaks for 2θ from 5° to 70°, in order of rising 2θ:
2theta  I (rel.)
20.1  19
24.8  14
32.1  100
40.9  17
43.7  42
48.5  11
55.2  20
61.3  29

***

8.
Calculated powder XRD pattern
Compound: LiCa6Ge
Radiation: λ = 1.5418 Å (Cu Kα)
Structure: a crystal structure in the Materials Project, relaxed with GGA-PBE
Lines closer than 0.1° are merged.

Atomic structure:
a b c (Å): 7.2079 7.2079 7.2079
angles (deg): 60.00 60.00 60.00
Atoms (fractional coordinates):
1 Li 0.0000 0.0000 0.0000
2 Ca 0.0000 0.0000 0.5000
3 Ca 0.0000 0.5000 0.0000
4 Ca 0.0000 0.5000 0.5000
5 Ca 0.5000 0.0000 0.0000
6 Ca 0.5000 0.0000 0.5000
7 Ca 0.5000 0.5000 0.0000
8 Ge 0.5000 0.5000 0.5000

Top 8 peaks for 2θ from 5° to 70°, in order of rising 2θ:
2theta  I (rel.)
15.1  23
29.1  15
30.4  100
35.2  49
38.5  7
50.7  32
60.2  37
63.2  11

***

9.
Calculated powder XRD pattern
Compound: Rb2NpO4
Radiation: λ = 1.5418 Å (Cu Kα)
Structure: a crystal structure in the Materials Project, relaxed with GGA-PBE
Lines closer than 0.1° are merged.

Atomic structure:
a b c (Å): 7.7156 7.7156 7.7156
angles (deg): 147.09 147.09 47.24
Atoms (fractional coordinates):
1 Rb 0.1514 0.1514 0.0000
2 Rb 0.8486 0.8486 0.0000
3 Np 0.5000 0.5000 0.0000
4 O 0.0000 0.5000 0.5000
5 O 0.3636 0.3636 0.0000
6 O 0.5000 0.0000 0.5000
7 O 0.6364 0.6364 0.0000

Top 8 peaks for 2θ from 5° to 70°, in order of rising 2θ:
2theta  I (rel.)
12.5  48
21.3  32
27.8  100
28.9  55
41.3  28
48.6  21
50.5  40
57.5  17

***

10.
Calculated powder XRD pattern
Compound: Li4Cu2Si3O10
Radiation: λ = 1.5418 Å (Cu Kα)
Structure: a crystal structure in the Materials Project, relaxed with GGA-PBE
Lines closer than 0.1° are merged.

Atomic structure:
a b c (Å): 5.3871 5.3871 16.2475
angles (deg): 97.13 97.13 61.43
Atoms (fractional coordinates):
1 Li 0.0841 0.2875 0.2344
2 Li 0.1824 0.3353 0.5531
3 Li 0.2875 0.0841 0.7344
4 Li 0.3353 0.1824 0.0531
5 Li 0.6647 0.8176 0.9469
6 Li 0.7125 0.9159 0.2656
7 Li 0.8176 0.6647 0.4469
8 Li 0.9159 0.7125 0.7656
9 Cu 0.2994 0.5203 0.9180
10 Cu 0.4797 0.7006 0.5820
11 Cu 0.5203 0.2994 0.4180
12 Cu 0.7006 0.4797 0.0820
13 Si 0.0291 0.8439 0.0969
14 Si 0.1561 0.9709 0.4031
15 Si 0.3910 0.6090 0.2500
16 Si 0.6090 0.3910 0.7500
17 Si 0.8439 0.0291 0.5969
18 Si 0.9709 0.1561 0.9031
19 O 0.0676 0.1320 0.1134
20 O 0.0974 0.6979 0.1883
21 O 0.1071 0.2846 0.4343
22 O 0.1320 0.0676 0.6134
23 O 0.2784 0.5904 0.0408
24 O 0.2846 0.1071 0.9343
25 O 0.3021 0.9026 0.3117
26 O 0.3377 0.4328 0.7950
27 O 0.4096 0.7216 0.4592
28 O 0.4328 0.3377 0.2950
29 O 0.5672 0.6623 0.7050
30 O 0.5904 0.2784 0.5408
31 O 0.6623 0.5672 0.2050
32 O 0.6979 0.0974 0.6883
33 O 0.7154 0.8929 0.0657
34 O 0.7216 0.4096 0.9592
35 O 0.8680 0.9324 0.3866
36 O 0.8929 0.7154 0.5657
37 O 0.9026 0.3021 0.8117
38 O 0.9324 0.8680 0.8866

Top 8 peaks for 2θ from 5° to 70°, in order of rising 2θ:
2theta  I (rel.)
11.0  71
19.2  53
19.4  92
24.2  47
28.1  44
33.3  100
33.4  74
36.7  71

***

11.
Calculated powder XRD pattern
Compound: Ge
Radiation: λ = 1.5418 Å (Cu Kα)
Structure: a crystal structure in the Materials Project, relaxed with GGA-PBE
Lines closer than 0.1° are merged.

Atomic structure:
a b c (Å): 6.1034 6.1034 6.1034
angles (deg): 109.47 109.47 109.47
Atoms (fractional coordinates):
1 Ge 0.0000 0.2982 0.5000
2 Ge 0.0000 0.7018 0.5000
3 Ge 0.2018 0.2018 0.2018
4 Ge 0.2982 0.5000 0.0000
5 Ge 0.5000 0.0000 0.2982
6 Ge 0.5000 0.0000 0.7018
7 Ge 0.7018 0.5000 0.0000
8 Ge 0.7982 0.7982 0.7982

Top 8 peaks for 2θ from 5° to 70°, in order of rising 2θ:
2theta  I (rel.)
25.3  18
31.1  100
48.3  78
51.9  19
55.3  7
58.6  5
61.7  6
67.8  10